1.
For La2Nd4ErTm, a structure optimized by DFT (GGA-PBE) gives the calculated X-ray powder pattern in this record (Cu Kα X-rays).
No peak broadening, texture or thermal motion is included.

The 12 most intense peaks (15° ≤ 2θ ≤ 90°), in order of rising 2θ:
2θ 30.0, intensity 100, hkl 1 1 2
2θ 34.5, intensity 17, hkl 0 0 4
2θ 34.7, intensity 17, hkl 0 2 0
2θ 34.9, intensity 17, hkl 2 0 0
2θ 49.8, intensity 12, hkl 0 2 4
2θ 50.0, intensity 12, hkl 2 0 4
2θ 50.1, intensity 12, hkl 2 2 0
2θ 59.1, intensity 15, hkl 1 1 6
2θ 59.3, intensity 14, hkl 1 3 2
2θ 59.6, intensity 14, hkl 3 1 2
2θ 62.3, intensity 12, hkl 2 2 4
2θ 80.9, intensity 6, hkl 1 3 6

Cell: 5.136 5.170 10.384 Å, 90.00 90.10 90.00°
Space group P2/m (No. 10)
One atom of each set of equivalent atoms:
La (0.000, 0.000, 0.000)
La (0.500, 0.500, 0.500)
Nd (0.000, 0.500, 0.250)
Nd (0.499, 0.000, 0.749)
Er (0.500, 0.500, 0.000)
Tm (0.000, 0.000, 0.500)



2.
For LaNd2Er4Tm, a structure optimized by DFT (GGA-PBE) gives the calculated X-ray powder pattern in this record (Cu Kα X-rays).
No peak broadening, texture or thermal motion is included.

The 12 most intense peaks (15° ≤ 2θ ≤ 90°), in order of rising 2θ:
2θ 30.6, intensity 100, hkl 2 2 0
2θ 35.3, intensity 34, hkl 2 0 2
2θ 35.9, intensity 16, hkl 0 4 0
2θ 50.7, intensity 12, hkl 4 0 0
2θ 51.2, intensity 24, hkl 2 4 2
2θ 60.4, intensity 29, hkl 4 2 2
2θ 61.3, intensity 14, hkl 2 6 0
2θ 63.7, intensity 12, hkl 4 4 0
2θ 82.7, intensity 6, hkl 6 2 0
2θ 83.5, intensity 12, hkl 4 6 2
2θ 85.3, intensity 6, hkl 6 0 2
2θ 86.8, intensity 5, hkl 2 8 2

Cell: 7.197 9.996 7.197 Å, 90.00 90.08 90.00°
Space group P2/m (No. 10)
One atom of each set of equivalent atoms:
La (0.000, 0.000, 0.000)
La (0.000, 0.500, 0.500)
Nd (0.000, 0.000, 0.500)
Nd (0.500, 0.000, 0.000)
Nd (0.500, 0.000, 0.500)
Nd (0.500, 0.500, 0.500)
Er (0.251, 0.254, 0.247)
Er (0.251, 0.254, 0.753)
Tm (0.000, 0.500, 0.000)
Tm (0.500, 0.500, 0.000)



3.
For La5Nd2ErTm, a structure optimized by DFT (GGA-PBE) gives the calculated X-ray powder pattern in this record (Cu Kα X-rays).
No peak broadening, texture or thermal motion is included.

The 12 most intense peaks (15° ≤ 2θ ≤ 90°), in order of rising 2θ:
2θ 27.8, intensity 35, hkl 2 1 3
2θ 29.0, intensity 100, hkl 2 0 4
2θ 29.6, intensity 51, hkl 2 2 0
2θ 31.3, intensity 9, hkl 2 2 2
2θ 34.7, intensity 11, hkl 3 1 2
2θ 37.0, intensity 17, hkl 2 0 6
2θ 38.3, intensity 10, hkl 3 2 1
2θ 40.7, intensity 14, hkl 0 0 8
2θ 43.6, intensity 13, hkl 4 0 2
2θ 51.1, intensity 14, hkl 2 2 8
2θ 52.1, intensity 34, hkl 4 2 4
2θ 57.4, intensity 11, hkl 4 2 6

Cell: 8.544 8.544 17.753 Å, 90.00 90.00 90.00°
Space group I4/mcm (No. 140)
One atom of each set of equivalent atoms:
La (0.000, 0.000, 0.000)
La (0.223, 0.277, 0.144)
Nd (0.126, 0.374, 0.500)
Er (0.000, 0.000, 0.250)
Tm (0.000, 0.500, 0.250)



4.
For La3NdY2Er6, a structure optimized by DFT (GGA-PBE) gives the calculated X-ray powder pattern in this record (Cu Kα X-rays).
No peak broadening, texture or thermal motion is included.

The 12 most intense peaks (15° ≤ 2θ ≤ 90°), in order of rising 2θ:
2θ 30.5, intensity 100, hkl 1 3 1
2θ 30.7, intensity 32, hkl 0 0 4
2θ 35.4, intensity 67, hkl 2 0 2
2θ 50.7, intensity 24, hkl 0 6 0
2θ 51.1, intensity 23, hkl 1 3 5
2θ 60.3, intensity 14, hkl 4 0 0
2θ 60.5, intensity 28, hkl 3 3 3
2θ 60.8, intensity 14, hkl 2 0 6
2θ 63.4, intensity 12, hkl 2 6 2
2θ 82.7, intensity 12, hkl 4 6 0
2θ 85.4, intensity 11, hkl 5 3 1
2θ 85.9, intensity 11, hkl 3 3 7

Cell: 6.232 10.796 11.825 Å, 90.00 100.10 90.00°
Space group C2/m (No. 12)
One atom of each set of equivalent atoms:
La (0.000, 0.000, 0.000)
La (0.000, 0.333, 0.000)
Nd (0.000, 0.500, 0.500)
Y (0.000, 0.167, 0.500)
Er (0.249, 0.000, 0.747)
Er (0.249, 0.333, 0.747)



5.
For La2NdYEr5, a structure optimized by DFT (GGA-PBE) gives the calculated X-ray powder pattern in this record (Cu Kα X-rays).
No peak broadening, texture or thermal motion is included.

The 12 most intense peaks (15° ≤ 2θ ≤ 90°), in order of rising 2θ:
2θ 28.6, intensity 44, hkl 2 1 3
2θ 29.1, intensity 54, hkl 2 2 0
2θ 30.7, intensity 100, hkl 2 0 4
2θ 32.6, intensity 16, hkl 3 1 0
2θ 37.8, intensity 15, hkl 3 2 1
2θ 43.3, intensity 10, hkl 4 1 1
2θ 46.3, intensity 11, hkl 0 0 8
2θ 46.5, intensity 10, hkl 4 1 3
2θ 52.6, intensity 25, hkl 4 2 4
2θ 55.6, intensity 12, hkl 2 2 8
2θ 60.3, intensity 15, hkl 4 4 0
2θ 79.6, intensity 10, hkl 6 1 7

Cell: 8.684 8.684 15.702 Å, 90.00 90.00 90.00°
Space group I4/mcm (No. 140)
One atom of each set of equivalent atoms:
La (0.117, 0.383, 0.000)
Nd (0.000, 0.000, 0.250)
Y (0.000, 0.500, 0.250)
Er (0.000, 0.000, 0.000)
Er (0.216, 0.284, 0.359)



6.
For LaEr2NpO8, a structure optimized by DFT (GGA-PBE) gives the calculated X-ray powder pattern in this record (Cu Kα X-rays).
No peak broadening, texture or thermal motion is included.

The 12 most intense peaks (15° ≤ 2θ ≤ 90°), in order of rising 2θ:
2θ 27.2, intensity 39, hkl 1 0 -1
2θ 29.0, intensity 100, hkl 1 0 1
2θ 33.0, intensity 32, hkl 1 2 0
2θ 33.3, intensity 15, hkl 0 0 2
2θ 46.3, intensity 13, hkl 2 0 0
2θ 46.4, intensity 25, hkl 1 2 -2
2θ 48.5, intensity 11, hkl 0 4 0
2θ 48.8, intensity 21, hkl 1 2 2
2θ 54.5, intensity 12, hkl 2 2 -1
2θ 56.5, intensity 10, hkl 1 4 -1
2θ 56.6, intensity 10, hkl 2 2 1
2θ 56.9, intensity 10, hkl 0 2 3

Cell: 3.931 7.507 5.397 Å, 90.00 93.86 90.00°
Space group P2/m (No. 10)
One atom of each set of equivalent atoms:
La (0.000, 0.000, 0.000)
Er (0.500, 0.244, 0.500)
Np (0.000, 0.500, 0.000)
O (0.026, 0.285, 0.757)
O (0.458, 0.500, 0.226)
O (0.493, 0.000, 0.736)



7.
For La9ErO15, a structure optimized by DFT (GGA-PBE) gives the calculated X-ray powder pattern in this record (Cu Kα X-rays).
No peak broadening, texture or thermal motion is included.

The 12 most intense peaks (15° ≤ 2θ ≤ 90°), in order of rising 2θ:
2θ 26.3, intensity 32, hkl 2 1 0
2θ 26.4, intensity 17, hkl 1 1 -2
2θ 29.1, intensity 47, hkl 0 2 2
2θ 30.0, intensity 36, hkl 1 -1 1
2θ 30.1, intensity 100, hkl 2 2 1
2θ 30.2, intensity 34, hkl 1 0 -3
2θ 39.6, intensity 24, hkl 2 3 2
2θ 46.4, intensity 38, hkl 3 1 2
2θ 46.6, intensity 18, hkl 3 2 -2
2θ 52.1, intensity 16, hkl 1 4 1
2θ 52.2, intensity 24, hkl 1 3 5
2θ 55.5, intensity 15, hkl 3 -1 0

Cell: 6.773 7.287 9.926 Å, 71.96 89.75 62.43°
Space group P1 (No. 1)
One atom of each set of equivalent atoms:
La (0.000, 0.000, 0.000)
La (0.063, 0.191, 0.305)
La (0.195, 0.594, 0.408)
La (0.273, 0.792, 0.698)
La (0.397, 0.202, 0.803)
La (0.464, 0.394, 0.104)
La (0.598, 0.795, 0.207)
La (0.668, 0.989, 0.503)
La (0.865, 0.594, 0.898)
Er (0.808, 0.376, 0.605)
O (0.023, 0.598, 0.652)
O (0.099, 0.123, 0.774)
O (0.162, 0.679, 0.922)
O (0.233, 0.195, 0.051)
O (0.304, 0.713, 0.183)
O (0.351, 0.283, 0.326)
O (0.423, 0.806, 0.456)
O (0.516, 0.321, 0.582)
O (0.553, 0.890, 0.726)
O (0.643, 0.405, 0.840)
O (0.707, 0.916, 0.984)
O (0.756, 0.479, 0.124)
O (0.829, 0.994, 0.259)
O (0.898, 0.507, 0.394)
O (0.952, 0.084, 0.529)



8.
For La2ErO4, a structure optimized by DFT (GGA-PBE) gives the calculated X-ray powder pattern in this record (Cu Kα X-rays).
No peak broadening, texture or thermal motion is included.

The 12 most intense peaks (15° ≤ 2θ ≤ 90°), in order of rising 2θ:
2θ 28.4, intensity 46, hkl 2 0 1
2θ 28.7, intensity 53, hkl 2 0 -2
2θ 29.0, intensity 100, hkl 1 1 -1
2θ 29.9, intensity 48, hkl 4 0 -1
2θ 36.0, intensity 60, hkl 3 1 0
2θ 45.7, intensity 30, hkl 1 1 2
2θ 47.7, intensity 31, hkl 5 1 -2
2θ 49.7, intensity 13, hkl 0 0 3
2θ 51.0, intensity 28, hkl 3 1 -3
2θ 51.7, intensity 15, hkl 0 2 0
2θ 60.2, intensity 13, hkl 2 2 -2
2θ 60.8, intensity 14, hkl 4 2 -1

Cell: 11.951 3.539 6.234 Å, 90.00 118.09 90.00°
Space group C2/m (No. 12)
One atom of each set of equivalent atoms:
La (0.190, 0.000, 0.196)
Er (0.000, 0.500, 0.500)
O (0.122, 0.500, 0.907)
O (0.135, 0.000, 0.518)



9.
For LaEr2ReO8, a structure optimized by DFT (GGA-PBE) gives the calculated X-ray powder pattern in this record (Cu Kα X-rays).
No peak broadening, texture or thermal motion is included.

The 12 most intense peaks (15° ≤ 2θ ≤ 90°), in order of rising 2θ:
2θ 24.9, intensity 53, hkl 0 2 0
2θ 25.1, intensity 53, hkl 2 0 0
2θ 31.4, intensity 100, hkl 1 1 2
2θ 35.6, intensity 29, hkl 2 2 0
2θ 48.1, intensity 37, hkl 1 3 2
2θ 48.3, intensity 37, hkl 3 1 2
2θ 51.1, intensity 9, hkl 0 4 0
2θ 57.7, intensity 10, hkl 2 4 0
2θ 59.4, intensity 19, hkl 2 0 4
2θ 61.3, intensity 21, hkl 3 3 2
2θ 65.4, intensity 12, hkl 2 2 4
2θ 86.6, intensity 10, hkl 6 2 0

Cell: 7.103 7.155 6.919 Å, 90.00 90.00 90.00°
Space group Cmmm (No. 65)
One atom of each set of equivalent atoms:
La (0.000, 0.000, 0.000)
Er (0.000, 0.500, 0.249)
Re (0.000, 0.000, 0.500)
O (0.000, 0.267, 0.500)
O (0.000, 0.318, 0.000)
O (0.186, 0.000, 0.302)



10.
For LaErTc2O8, a structure optimized by DFT (GGA-PBE) gives the calculated X-ray powder pattern in this record (Cu Kα X-rays).
No peak broadening, texture or thermal motion is included.

The 12 most intense peaks (15° ≤ 2θ ≤ 90°), in order of rising 2θ:
2θ 17.4, intensity 65, hkl 1 0 0
2θ 21.6, intensity 76, hkl 0 1 1
2θ 30.3, intensity 100, hkl 1 1 0
2θ 31.0, intensity 94, hkl 1 0 2
2θ 43.9, intensity 53, hkl 0 2 2
2θ 49.0, intensity 17, hkl 3 -2 1
2θ 53.9, intensity 19, hkl 3 0 0
2θ 54.3, intensity 44, hkl 2 1 2
2θ 55.6, intensity 14, hkl 0 1 4
2θ 61.7, intensity 16, hkl 1 1 4
2θ 63.1, intensity 17, hkl 2 2 0
2θ 72.0, intensity 18, hkl 4 -3 2

Cell: 5.8925 5.8925 6.9875 Å, 90.00 90.00 120.00°
Space group P-3 (No. 147)
One atom of each set of equivalent atoms:
La (0.0000, 0.0000, 0.0000)
Er (0.0000, 0.0000, 0.5000)
Tc (0.3333, 0.6667, 0.7924)
O (0.1563, 0.3145, 0.7219)
O (0.3333, 0.6667, 0.0483)



Copy entry 3 word for word.
For La5Nd2ErTm, a structure optimized by DFT (GGA-PBE) gives the calculated X-ray powder pattern in this record (Cu Kα X-rays).
No peak broadening, texture or thermal motion is included.

The 12 most intense peaks (15° ≤ 2θ ≤ 90°), in order of rising 2θ:
2θ 27.8, intensity 35, hkl 2 1 3
2θ 29.0, intensity 100, hkl 2 0 4
2θ 29.6, intensity 51, hkl 2 2 0
2θ 31.3, intensity 9, hkl 2 2 2
2θ 34.7, intensity 11, hkl 3 1 2
2θ 37.0, intensity 17, hkl 2 0 6
2θ 38.3, intensity 10, hkl 3 2 1
2θ 40.7, intensity 14, hkl 0 0 8
2θ 43.6, intensity 13, hkl 4 0 2
2θ 51.1, intensity 14, hkl 2 2 8
2θ 52.1, intensity 34, hkl 4 2 4
2θ 57.4, intensity 11, hkl 4 2 6

Cell: 8.544 8.544 17.753 Å, 90.00 90.00 90.00°
Space group I4/mcm (No. 140)
One atom of each set of equivalent atoms:
La (0.000, 0.000, 0.000)
La (0.223, 0.277, 0.144)
Nd (0.126, 0.374, 0.500)
Er (0.000, 0.000, 0.250)
Tm (0.000, 0.500, 0.250)